Structure and calculated PXRD pattern of Y2Ga2Fe15 (the PBE geometry in the Materials Project; λ = 1.5418 Å (Cu Kα)).
No peak broadening, texture or thermal motion is included.

Structural model:
```
Y2Ga2Fe15
1.0
4.2271 2.4405 4.1646
-4.2271 2.4405 4.1646
0.0000 -4.8810 4.1646
Y Ga Fe
2 2 15
Cartesian
0.0000 0.0000 1.9084 Y
0.0000 0.0000 10.5854 Y
0.0000 0.0000 4.9621 Ga
0.0000 0.0000 7.5317 Ga
-2.1135 -1.2203 4.1646 Fe
0.0000 -2.4469 4.0657 Fe
-2.1191 1.2235 4.0657 Fe
-1.2655 -2.1918 6.2469 Fe
-2.5309 0.0000 6.2469 Fe
-2.1191 -1.2235 8.4281 Fe
-2.1135 1.2203 8.3292 Fe
1.2654 -2.1918 6.2469 Fe
0.0000 2.4405 4.1646 Fe
-1.2654 2.1918 6.2469 Fe
2.1191 1.2235 4.0657 Fe
2.5309 0.0000 6.2469 Fe
1.2654 2.1918 6.2469 Fe
2.1191 -1.2235 8.4281 Fe
0.0000 2.4469 8.4281 Fe
```

Main lines, sorted by position (2θ = 10–80°):
2theta  d_spacing  I (rel.)
36.8  2.441  452
37.9  2.376  310
42.8  2.114  691
43.0  2.106  1000
43.5  2.082  369
48.3  1.885  587

***

Structure and calculated PXRD pattern of UTa2S6Cl6O (the PBE geometry in the Materials Project; λ = 1.5418 Å (Cu Kα)).
No peak broadening, texture or thermal motion is included.

Structural model:
```
UTa2S6Cl6O
1.0
6.9862 0.0000 0.0000
0.2050 9.6771 0.0000
1.5347 1.2797 12.7155
U Ta S Cl O
2 4 12 12 2
Cartesian
1.8718 4.0593 1.2395 U
6.8541 6.8975 11.4761 U
1.9123 0.8076 2.8624 Ta
3.0696 3.3937 4.6132 Ta
5.6563 7.5631 8.1023 Ta
6.8136 10.1492 9.8531 Ta
1.7702 8.9116 10.8045 S
1.1720 1.7854 5.0952 S
1.3023 4.9624 3.9328 S
1.3119 1.2558 0.5268 S
3.0375 0.8754 5.1918 S
3.2298 5.5398 3.4108 S
5.4961 5.4170 9.3047 S
5.6884 10.0814 7.5237 S
7.4140 9.7010 12.1887 S
7.4236 5.9944 8.7827 S
7.5539 9.1714 7.6204 S
6.9557 2.0452 1.9110 S
0.7873 8.6418 3.3323 Cl
2.2123 5.2860 11.4419 Cl
3.0095 4.0238 6.8437 Cl
3.2789 7.6332 8.1819 Cl
2.9706 6.3451 0.0455 Cl
4.7515 1.6935 10.6100 Cl
3.9744 9.2633 2.1056 Cl
5.7553 4.6117 12.6700 Cl
5.4470 3.3236 4.5336 Cl
5.7164 6.9330 5.8718 Cl
6.5136 5.6708 1.2737 Cl
7.9387 2.3150 9.3832 Cl
2.8335 2.6080 2.7733 O
5.8924 8.3488 9.9422 O
```

Main lines, sorted by position (2θ = 10–80°):
2theta  d_spacing  I (rel.)
11.0  8.075  1000
13.8  6.415  496
15.3  5.808  975
15.7  5.652  249
15.8  5.604  489
28.8  3.096  238

***

Structure and calculated PXRD pattern of Sm2ZnSb4 (the PBE geometry in the Materials Project; λ = 1.5418 Å (Cu Kα)).
No peak broadening, texture or thermal motion is included.

Structural model:
```
Sm2ZnSb4
1.0
4.3537 0.0000 0.0000
0.0000 4.3537 0.0000
0.0000 0.0000 10.1875
Sm Zn Sb
2 1 4
Cartesian
0.0000 2.1769 2.5002 Sm
2.1769 0.0000 7.6874 Sm
2.1769 2.1769 5.0938 Zn
0.0000 0.0000 0.0000 Sb
0.0000 2.1769 6.6961 Sb
2.1769 0.0000 3.4914 Sb
2.1769 2.1769 0.0000 Sb
```

Main lines, sorted by position (2θ = 10–80°):
2theta  d_spacing  I (rel.)
26.9  3.310  230
30.3  2.947  236
33.5  2.678  253
34.0  2.635  1000
41.5  2.177  420
70.9  1.329  231

***

Structure and calculated PXRD pattern of Ti2NiH (the PBE geometry in the Materials Project; λ = 1.5418 Å (Cu Kα)).
No peak broadening, texture or thermal motion is included.

Structural model:
```
Ti2NiH
1.0
0.0000 5.7178 5.7178
5.7178 0.0000 5.7178
5.7178 5.7178 0.0000
Ti Ni H
16 8 8
Cartesian
0.0000 0.0000 0.0000 Ti
2.8589 2.8589 0.0000 Ti
2.8589 0.0000 2.8589 Ti
4.2883 4.2883 2.1143 Ti
4.2883 2.1143 4.2883 Ti
6.4624 4.2883 4.2883 Ti
7.1472 7.1472 4.9731 Ti
7.1472 4.9731 7.1472 Ti
9.3213 7.1472 7.1472 Ti
0.0000 2.8589 2.8589 Ti
2.1143 4.2883 4.2883 Ti
4.2883 6.4624 4.2883 Ti
4.2883 4.2883 6.4624 Ti
4.9731 7.1472 7.1472 Ti
7.1472 9.3213 7.1472 Ti
7.1472 7.1472 9.3213 Ti
8.9750 5.3194 5.3194 Ni
2.4606 2.4606 2.4606 Ni
6.1161 6.1161 2.4606 Ni
6.1161 2.4606 6.1161 Ni
5.3194 8.9750 5.3194 Ni
5.3194 5.3194 8.9750 Ni
8.9750 8.9750 8.9750 Ni
2.4606 6.1161 6.1161 Ni
5.7178 2.8589 2.8589 H
1.4294 1.4294 1.4294 H
4.2883 4.2883 4.2883 H
2.8589 5.7178 2.8589 H
2.8589 2.8589 5.7178 H
5.7178 5.7178 5.7178 H
7.1472 7.1472 7.1472 H
10.0061 10.0061 10.0061 H
```

Main lines, sorted by position (2θ = 10–80°):
2theta  d_spacing  I (rel.)
13.4  6.602  125
38.6  2.334  246
41.0  2.201  1000
44.8  2.022  301
47.7  1.906  100
69.8  1.348  236

***

Structure and calculated PXRD pattern of Cs3BiSe3 (the PBE geometry in the Materials Project; λ = 1.5418 Å (Cu Kα)).
No peak broadening, texture or thermal motion is included.

Structural model:
```
Cs3BiSe3
1.0
10.8488 0.0000 0.0000
0.0000 10.8488 0.0000
0.0000 0.0000 10.8488
Cs Bi Se
12 4 12
Cartesian
0.7585 0.7585 0.7585 Cs
1.9566 3.4678 7.3810 Cs
2.0446 7.4690 8.8042 Cs
3.3798 3.3798 3.3798 Cs
3.4678 7.3810 1.9566 Cs
4.6659 10.0903 6.1829 Cs
6.1829 4.6659 10.0903 Cs
7.3810 1.9566 3.4678 Cs
7.4690 8.8042 2.0446 Cs
8.8042 2.0446 7.4690 Cs
8.8922 8.8922 8.8922 Cs
10.0903 6.1829 4.6659 Cs
0.3060 10.5428 5.1184 Bi
5.1184 0.3060 10.5428 Bi
5.7304 5.7304 5.7304 Bi
10.5428 5.1184 0.3060 Bi
0.0484 2.2478 4.2899 Se
1.1345 10.8004 7.6722 Se
2.2478 4.2899 0.0484 Se
3.1766 6.5589 5.4728 Se
4.2899 0.0484 2.2478 Se
5.3760 8.6010 9.7143 Se
5.4728 3.1766 6.5589 Se
6.5589 5.4728 3.1766 Se
7.6722 1.1345 10.8004 Se
8.6010 9.7143 5.3760 Se
9.7143 5.3760 8.6010 Se
10.8004 7.6722 1.1345 Se
```

Main lines, sorted by position (2θ = 10–80°):
2theta  d_spacing  I (rel.)
14.1  6.264  225
23.2  3.836  422
26.0  3.431  1000
30.8  2.899  513
40.7  2.215  191
42.5  2.128  353

***

Structure and calculated PXRD pattern of CrN2 (the PBE geometry in the Materials Project; λ = 1.5418 Å (Cu Kα)).
No peak broadening, texture or thermal motion is included.

Structural model:
```
CrN2
1.0
5.4500 0.0000 0.0000
2.7199 4.7449 0.0000
0.0905 0.1460 5.9909
Cr N
3 6
Cartesian
0.0000 0.0000 0.0000 Cr
1.5220 2.5173 3.9946 Cr
4.2746 2.4728 2.0035 Cr
0.9937 1.0956 4.9419 N
3.8058 3.7277 0.9936 N
2.9565 2.1980 3.1608 N
4.5679 1.0676 1.0826 N
5.7432 2.8929 2.8952 N
7.2355 3.8640 5.0976 N
```

Main lines, sorted by position (2θ = 10–80°):
2theta  d_spacing  I (rel.)
18.8  4.731  628
23.7  3.760  952
24.0  3.712  975
24.3  3.669  1000
38.1  2.363  236
44.6  2.033  171

***

Structure and calculated PXRD pattern of VRh3 (the PBE geometry in the Materials Project; λ = 1.5418 Å (Cu Kα)).
No peak broadening, texture or thermal motion is included.

Structural model:
```
VRh3
1.0
3.8168 0.0000 0.0000
0.0000 3.8168 0.0000
0.0000 0.0000 3.8168
V Rh
1 3
Cartesian
0.0000 0.0000 0.0000 V
0.0000 1.9084 1.9084 Rh
1.9084 0.0000 1.9084 Rh
1.9084 1.9084 0.0000 Rh
```

Main lines, sorted by position (2θ = 10–80°):
2theta  d_spacing  I (rel.)
23.3  3.817  75
33.2  2.699  61
41.0  2.204  1000
47.7  1.908  479
53.7  1.707  33
69.7  1.349  296

***

Structure and calculated PXRD pattern of Sc (the PBE geometry in the Materials Project; λ = 1.5418 Å (Cu Kα)).
No peak broadening, texture or thermal motion is included.

Structural model:
```
Sc
1.0
3.3187 0.0000 0.0000
-1.6593 2.8740 0.0000
0.0000 0.0000 5.1780
Sc
2
Cartesian
0.0000 1.9160 1.2945 Sc
1.6593 0.9580 3.8835 Sc
```

Main lines, sorted by position (2θ = 10–80°):
2theta  d_spacing  I (rel.)
31.1  2.874  248
34.6  2.589  243
35.7  2.513  1000
55.4  1.659  166
62.8  1.480  164
67.0  1.397  177

***

Structure and calculated PXRD pattern of CuP4Se3I (the PBE geometry in the Materials Project; λ = 1.5418 Å (Cu Kα)).
No peak broadening, texture or thermal motion is included.

Structural model:
```
CuP4Se3I
1.0
3.9958 -11.4555 0.0000
3.9958 11.4555 0.0000
0.0000 0.0000 11.0183
Cu P Se I
4 16 12 4
Cartesian
1.5994 0.0000 0.0000 Cu
2.3964 0.0000 5.5091 Cu
5.5952 0.0000 5.5091 Cu
6.3923 0.0000 0.0000 Cu
1.1214 1.8285 5.0277 P
3.9958 8.8275 7.8050 P
3.9958 6.4426 5.2151 P
1.1214 -1.8285 5.9906 P
2.8745 1.8285 0.4814 P
3.9958 5.0129 10.7242 P
3.9958 2.6281 2.2959 P
2.8745 -1.8285 10.5369 P
5.1172 1.8285 0.4814 P
3.9958 -2.6281 8.7224 P
3.9958 -5.0129 0.2941 P
5.1172 -1.8285 10.5369 P
6.8703 1.8285 5.0277 P
3.9958 -6.4426 5.8032 P
3.9958 -8.8275 3.2132 P
6.8703 -1.8285 5.9906 P
1.7419 3.6167 6.2673 Se
2.2539 3.6167 10.2602 Se
3.9958 6.5764 7.5024 Se
3.9958 4.8792 1.9933 Se
1.7419 -3.6167 4.7510 Se
2.2539 -3.6167 0.7581 Se
5.7377 3.6167 10.2602 Se
6.2498 3.6167 6.2673 Se
3.9958 -4.8792 9.0250 Se
3.9958 -6.5764 3.5158 Se
5.7377 -3.6167 0.7581 Se
6.2498 -3.6167 4.7510 Se
3.9958 10.7083 1.9696 I
3.9958 0.7472 7.4787 I
3.9958 -0.7472 3.5396 I
3.9958 -10.7083 9.0487 I
```

Main lines, sorted by position (2θ = 10–80°):
2theta  d_spacing  I (rel.)
18.0  4.936  900
27.2  3.277  264
27.6  3.231  1000
28.4  3.141  566
28.9  3.092  294
32.3  2.772  411

***

Structure and calculated PXRD pattern of Na4BeAlSi4ClO12 (the PBE geometry in the Materials Project; λ = 1.5418 Å (Cu Kα)).
No peak broadening, texture or thermal motion is included.

Structural model:
```
Na4BeAlSi4ClO12
1.0
4.4311 -6.3143 0.0000
4.4311 6.3143 0.0000
-0.0190 0.0000 12.6133
Na Be Al Si Cl O
8 2 2 8 2 24
Cartesian
4.4216 5.6020 6.3067 Na
3.0047 3.0550 10.0776 Na
3.2595 3.2724 2.1180 Na
4.1894 0.8944 6.2150 Na
4.1799 -0.8944 12.5217 Na
3.0142 -3.0550 3.7710 Na
3.2500 -3.2724 8.4247 Na
4.4311 -5.6020 0.0000 Na
1.4756 1.5583 7.7025 Be
1.4850 -1.5583 1.3958 Be
5.9613 1.5530 10.9377 Al
5.9708 -1.5530 4.6310 Al
1.5189 1.6052 4.6019 Si
1.5094 -1.6052 10.9086 Si
3.6471 0.0463 9.2665 Si
3.6566 -0.0463 2.9598 Si
5.8966 1.6436 1.4997 Si
5.8871 -1.6436 7.8063 Si
8.2083 0.0229 3.0302 Si
8.1988 -0.0229 9.3369 Si
5.9246 3.1599 6.1708 Cl
5.9151 -3.1599 12.4775 Cl
1.1233 1.3113 6.1199 O
4.6025 5.2048 2.2672 O
4.6576 5.0105 9.8987 O
1.1138 -1.3113 12.4265 O
2.7755 0.6000 4.2026 O
2.7909 0.6402 8.0562 O
2.7660 -0.6000 10.5093 O
2.8004 -0.6402 1.7495 O
4.5583 1.2065 9.9520 O
4.5992 1.2210 2.4472 O
6.2220 3.1847 1.7709 O
6.4307 3.1977 10.5562 O
5.4897 1.2181 12.5915 O
4.5678 -1.2065 3.6453 O
4.5897 -1.2210 8.7538 O
5.4992 -1.2181 6.2849 O
7.2060 0.7226 1.9107 O
7.3659 0.5540 10.6101 O
7.1965 -0.7226 8.2174 O
7.3754 -0.5540 4.3034 O
4.6671 -5.0105 3.5921 O
4.5930 -5.2048 8.5739 O
6.2126 -3.1847 8.0776 O
6.4402 -3.1977 4.2496 O
```

Main lines, sorted by position (2θ = 10–80°):
2theta  d_spacing  I (rel.)
14.1  6.298  397
24.5  3.636  1000
24.6  3.623  144
34.9  2.570  279
37.8  2.382  193
43.2  2.096  185

***

Structure and calculated PXRD pattern of RbLiAgO2 (the PBE geometry in the Materials Project; λ = 1.5418 Å (Cu Kα)).
No peak broadening, texture or thermal motion is included.

Structural model:
```
RbLiAgO2
1.0
3.0831 0.0000 0.0000
0.0000 5.2113 0.0000
0.0000 0.0000 5.7412
Rb Li Ag O
1 1 1 2
Cartesian
0.0000 0.0000 0.0000 Rb
0.0000 2.6057 0.0000 Li
0.0000 2.6057 2.8706 Ag
1.5415 2.6057 1.2789 O
1.5415 2.6057 4.4623 O
```

Main lines, sorted by position (2θ = 10–80°):
2theta  d_spacing  I (rel.)
23.0  3.859  1000
29.0  3.083  229
34.4  2.606  284
37.3  2.409  637
43.1  2.101  289
56.2  1.636  248